# MnCd2Ni
Simulated XRD peak list, λ = 1.5418 Å (Cu Kα). Input: a structure optimized by DFT (PBE).
No peak broadening, texture or thermal motion is included.

Top 10 peaks for 10 to 90 degrees two-theta, low angle first:
two_theta	Rel. int.
24.38	16
38.53	100
43.77	34
46.75	14
50.73	4
63.63	11
65.97	19
76.91	24
81.21	10
82.57	10

Atomic structure:
Cell: 4.864 4.864 4.864 Å, 129.68 129.68 73.93°
Sites, in units of the cell vectors:
Mn1 0.000 0.000 0.000
Cd1 0.500 0.500 0.000
Cd2 0.750 0.250 0.500
Ni1 0.250 0.750 0.500